Entry 1:
For Tb2Tm2Al3, a structure optimized by DFT (PBE) gives the simulated powder diffraction line list in this record (Cu Kα, 1.54184 Å).
Intensities are scaled so that the largest is 100.

Crystal structure
```
Tb2Tm2Al3
1.0
5.927 -2.487 0.000
5.927 2.487 0.000
-2.553 0.000 6.070
Tb Tm Al
2 2 3
Cartesian
-0.214 0.000 1.699
9.515 0.000 4.371
3.245 0.000 1.220
6.056 0.000 4.849
1.648 0.000 4.047
5.927 0.000 0.000
7.653 0.000 2.023
```

Most intense lines, 10° ≤ 2θ ≤ 80°, by intensity:
- 2θ = 35.2°, rel. 100
- 2θ = 30.4°, rel. 92
- 2θ = 26.4°, rel. 89
- 2θ = 29.4°, rel. 65
- 2θ = 36.1°, rel. 53
- 2θ = 30.2°, rel. 43

---

Entry 2:
For TbAlW, a structure optimized by DFT (PBE) gives the simulated powder diffraction line list in this record (Cu Kα, 1.54184 Å).
Intensities are scaled so that the largest is 100.

Crystal structure
```
TbAlW
1.0
0.000 3.232 3.232
3.232 0.000 3.232
3.232 3.232 0.000
Tb Al W
1 1 1
Cartesian
0.000 0.000 0.000
1.616 1.616 1.616
3.232 3.232 3.232
```

Most intense lines, 10° ≤ 2θ ≤ 80°, by intensity:
- 2θ = 39.4°, rel. 100
- 2θ = 27.6°, rel. 93
- 2θ = 71.5°, rel. 35
- 2θ = 64.5°, rel. 35
- 2θ = 48.8°, rel. 27
- 2θ = 57.0°, rel. 17

---

Entry 3:
For TbY2Al9, a structure optimized by DFT (PBE) gives the simulated powder diffraction line list in this record (Cu Kα, 1.54184 Å).
Intensities are scaled so that the largest is 100.

Crystal structure
```
TbY2Al9
1.0
3.101 1.791 7.051
-3.101 1.791 7.051
0.000 -3.581 7.051
Tb Y Al
1 2 9
Cartesian
0.000 0.000 0.000
0.000 0.000 4.608
0.000 0.000 16.543
-1.551 -0.895 7.051
-1.363 -0.787 11.771
0.000 -1.574 9.381
-1.363 0.787 9.381
-1.551 0.895 14.101
0.000 1.791 7.051
1.363 -0.787 11.771
0.000 1.574 11.771
1.363 0.787 9.381
```

Most intense lines, 10° ≤ 2θ ≤ 80°, by intensity:
- 2θ = 37.6°, rel. 100
- 2θ = 39.8°, rel. 93
- 2θ = 23.6°, rel. 76
- 2θ = 26.8°, rel. 71
- 2θ = 28.8°, rel. 61
- 2θ = 33.6°, rel. 52